HoEr2NiSn3Ir2: simulated X-ray diffraction stick pattern (Cu Kα, 1.54184 Å), based on a crystal structure in OQMD, relaxed with GGA-PBE.
Intensities are scaled so that the largest is 100.

Most intense lines, 5° ≤ 2θ ≤ 70°, low angle first:
| 2theta | I (rel.) |
| --- | --- |
| 33.81 | 100 |
| 36.30 | 47 |
| 36.56 | 72 |
| 41.37 | 39 |
| 43.94 | 20 |
| 48.97 | 20 |
| 62.46 | 20 |
| 67.22 | 27 |

Crystal structure
abc: 3.7203 13.0966 7.5588
angles: 90.00 90.00 90.00
Space group Amm2 (No. 38)
Unique sites:
Ho1 0.0000 0.0000 0.0000
Er1 0.0000 0.2033 0.6100
Ni1 0.0000 0.0000 0.4071
Sn1 0.5000 0.0000 0.6632
Sn2 0.5000 0.1284 0.2785
Ir1 0.5000 0.1673 0.9064

---

Ho3Er2Lu3: simulated X-ray diffraction stick pattern (Cu Kα, 1.54184 Å), based on a crystal structure in OQMD, relaxed with GGA-PBE.
Intensities are scaled so that the largest is 100.

Most intense lines, 5° ≤ 2θ ≤ 70°, low angle first:
| 2theta | I (rel.) |
| --- | --- |
| 29.03 | 24 |
| 32.45 | 24 |
| 33.35 | 100 |
| 44.10 | 16 |
| 51.46 | 20 |
| 58.47 | 20 |
| 62.17 | 22 |
| 62.72 | 16 |

Crystal structure
abc: 7.1028 7.1028 5.5176
angles: 90.00 90.00 120.00
Space group P-6m2 (No. 187)
Unique sites:
Ho1 0.9999 0.5000 0.0000
Er1 0.0000 0.0000 0.0000
Er2 0.3333 0.6667 0.5000
Lu1 0.3340 0.1670 0.5000

---

Ho3Er2Lu3: simulated X-ray diffraction stick pattern (Cu Kα, 1.54184 Å), based on a crystal structure in OQMD, relaxed with GGA-PBE.
Intensities are scaled so that the largest is 100.

Most intense lines, 5° ≤ 2θ ≤ 70°, low angle first:
| 2theta | I (rel.) |
| --- | --- |
| 29.03 | 24 |
| 32.46 | 24 |
| 33.35 | 100 |
| 44.10 | 15 |
| 51.46 | 20 |
| 58.48 | 20 |
| 62.17 | 22 |
| 62.72 | 16 |

Crystal structure
abc: 5.5161 7.1033 12.3030
angles: 90.00 90.00 90.00
Space group Amm2 (No. 38)
Unique sites:
Ho1 0.0000 0.0000 0.0000
Ho2 0.5000 0.2497 0.0830
Er1 0.0000 0.0000 0.5000
Er2 0.5000 0.0000 0.8332
Lu1 0.0000 0.2499 0.2495
Lu2 0.5000 0.0000 0.3329

---

YHo2Er2Lu2Ni2Te2: simulated X-ray diffraction stick pattern (Cu Kα, 1.54184 Å), based on a crystal structure in OQMD, relaxed with GGA-PBE.
Intensities are scaled so that the largest is 100.

Most intense lines, 5° ≤ 2θ ≤ 70°, low angle first:
| 2theta | I (rel.) |
| --- | --- |
| 25.07 | 27 |
| 30.55 | 44 |
| 33.24 | 84 |
| 34.29 | 100 |
| 34.78 | 86 |
| 38.72 | 23 |
| 47.48 | 30 |
| 59.19 | 32 |

Crystal structure
abc: 3.8299 15.4634 9.4866
angles: 90.00 90.00 90.00
Space group Imm2 (No. 44)
Unique sites:
Y1 0.0000 0.0000 0.0000
Ho1 0.0000 0.1330 0.4177
Er1 0.0000 0.3519 0.2697
Lu1 0.0000 0.3146 0.6200
Ni1 0.0000 0.2371 0.9291
Te1 0.0000 0.0000 0.6649
Te2 0.0000 0.5000 0.7633